# Tl3IrN6O12
Calculated XRD peak list, CuKα. Input: a DFT-relaxed cell (PBE, Alexandria).

Peak list (8 most intense, 10 to 80 degrees two-theta, in order of falling intensity)
d 4.155, 2θ 21.39, I = 100; d 2.399, 2θ 37.49, I = 51; d 2.938, 2θ 30.43, I = 40; d 1.570, 2θ 58.80, I = 31; d 1.858, 2θ 49.03, I = 27; d 2.077, 2θ 43.57, I = 24; d 1.385, 2θ 67.65, I = 18; d 1.314, 2θ 71.85, I = 9

Structure:
```
22
Lattice="0.000 5.876 5.876 5.876 0.000 5.876 5.876 5.876 0.000" Properties=species:S:1:pos:R:3 pbc="T T T"
Tl 0.000 0.000 0.000
Tl 2.938 2.938 2.938
Tl 8.814 8.814 8.814
Ir 5.876 5.876 5.876
N 5.876 5.876 3.888
N 5.876 3.888 5.876
N 7.864 5.876 5.876
N 3.888 5.876 5.876
N 5.876 7.864 5.876
N 5.876 5.876 7.864
O 5.876 3.392 3.392
O 8.360 5.876 3.392
O 8.360 3.392 5.876
O 3.392 5.876 3.392
O 5.876 8.360 3.392
O 3.392 3.392 5.876
O 8.360 8.360 5.876
O 5.876 3.392 8.360
O 8.360 5.876 8.360
O 3.392 8.360 5.876
O 3.392 5.876 8.360
O 5.876 8.360 8.360
```